Computed XRD peak list of PmNbCr2O6 for λ = 1.5418 Å (Cu Kα), from a DFT-relaxed cell (PBE+U, Alexandria).

```
data_PmNbCr2O6
_space_group_name_H-M_alt 'P 1'
_space_group_IT_number 1
_cell_length_a 5.4862
_cell_length_b 5.4945
_cell_length_c 5.7792
_cell_angle_alpha 62.29
_cell_angle_beta 65.59
_cell_angle_gamma 61.48
loop_
_space_group_symop_operation_xyz
'x,y,z'
loop_
_atom_site_label
_atom_site_type_symbol
_atom_site_fract_x
_atom_site_fract_y
_atom_site_fract_z
Pm1 Pm 0.0000 0.0000 0.0000
Nb1 Nb 0.5095 0.5133 0.4660
Cr1 Cr 0.2247 0.2043 0.3602
Cr2 Cr 0.7083 0.7143 0.8570
O1 O 0.1711 0.7915 0.6228
O2 O 0.3209 0.5716 0.1885
O3 O 0.4397 0.1333 0.6413
O4 O 0.6007 0.8856 0.1530
O5 O 0.7672 0.4395 0.6639
O6 O 0.8974 0.3402 0.1746
```

Peak list (6 most intense, 2θ from 15° to 90°, by intensity)
2theta, I (rel.), (hkl)
29.3, 100, 1 0 -1
30.8, 80, 0 1 -1
31.2, 78, 1 1 2
31.9, 77, 1 -1 0
32.7, 75, 2 1 1
32.6, 69, 1 2 1